Record 1
For K2NaTbCl6, a DFT-relaxed cell (GGA-PBE, the Materials Project) gives the theoretical X-ray diffraction stick pattern in this record (Cu Kα, 1.54184 Å).
Kinematic intensities with the Lorentz-polarization factor, no thermal factor.

Structural model:
Cell lengths 7.6020, 7.6020, 7.6020 Å; angles 60.00, 60.00, 60.00 degrees
Sites, in units of the cell vectors:
K: 0.2500 0.2500 0.2500
K: 0.7500 0.7500 0.7500
Na: 0.0000 0.0000 0.0000
Tb: 0.5000 0.5000 0.5000
Cl: 0.2545 0.2545 0.7455
Cl: 0.2545 0.7455 0.2545
Cl: 0.2545 0.7455 0.7455
Cl: 0.7455 0.2545 0.2545
Cl: 0.7455 0.2545 0.7455
Cl: 0.7455 0.7455 0.2545

Principal peaks in the range 10° ≤ 2θ ≤ 90°, by intensity:
33.34°, I 100.0
14.27°, I 86.0
23.40°, I 78.4
16.49°, I 74.5
47.86°, I 65.9
27.52°, I 48.7
37.41°, I 37.5
41.13°, I 36.0
79.79°, I 26.9
59.58°, I 21.6

Record 2
For La5Pb3Se, a DFT-relaxed cell (GGA-PBE, the Materials Project) gives the theoretical X-ray diffraction stick pattern in this record (Cu Kα, 1.54184 Å).
Kinematic intensities with the Lorentz-polarization factor, no thermal factor.

Structural model:
Cell lengths 9.7671, 9.7671, 7.2057 Å; angles 90.00, 90.00, 120.00 degrees
Sites, in units of the cell vectors:
La: 0.0000 0.2488 0.2500
La: 0.0000 0.7512 0.7500
La: 0.2488 0.0000 0.2500
La: 0.2488 0.2488 0.7500
La: 0.3333 0.6667 0.0000
La: 0.3333 0.6667 0.5000
La: 0.6667 0.3333 0.0000
La: 0.6667 0.3333 0.5000
La: 0.7512 0.0000 0.7500
La: 0.7512 0.7512 0.2500
Pb: 0.0000 0.3971 0.7500
Pb: 0.0000 0.6029 0.2500
Pb: 0.3971 0.0000 0.7500
Pb: 0.3971 0.3971 0.2500
Pb: 0.6029 0.0000 0.2500
Pb: 0.6029 0.6029 0.7500
Se: 0.0000 0.0000 0.0000
Se: 0.0000 0.0000 0.5000

Principal peaks in the range 10° ≤ 2θ ≤ 90°, by intensity:
30.59°, I 100.0
30.84°, I 96.8
31.74°, I 54.5
47.34°, I 30.3
40.44°, I 28.6
24.71°, I 21.7
61.03°, I 19.1
44.84°, I 18.3
60.46°, I 17.0
71.88°, I 13.9

Record 3
For YSn2O4, a DFT-relaxed cell (GGA-PBE, the Materials Project) gives the theoretical X-ray diffraction stick pattern in this record (Cu Kα, 1.54184 Å).
Kinematic intensities with the Lorentz-polarization factor, no thermal factor.

Structural model:
Cell lengths 6.8621, 6.8621, 6.8621 Å; angles 126.92, 126.92, 78.38 degrees
Sites, in units of the cell vectors:
Y: 0.3750 0.1250 0.2500
Y: 0.6250 0.8750 0.7500
Sn: 0.0000 0.0000 0.5000
Sn: 0.0000 0.5000 0.0000
Sn: 0.0000 0.5000 0.5000
Sn: 0.5000 0.5000 0.0000
O: 0.0029 0.1016 0.2529
O: 0.2500 0.5029 0.4013
O: 0.3487 0.7500 0.2471
O: 0.3984 0.1513 0.9013
O: 0.6016 0.8487 0.0987
O: 0.6513 0.2500 0.7529
O: 0.7500 0.4971 0.5987
O: 0.9971 0.8984 0.7471

Principal peaks in the range 10° ≤ 2θ ≤ 90°, by intensity:
33.75°, I 100.0
54.63°, I 38.6
29.09°, I 32.6
45.12°, I 18.4
60.34°, I 17.9
70.91°, I 11.6
70.98°, I 11.3
51.61°, I 10.9
16.69°, I 9.5
26.52°, I 9.0

Record 4
For Ba3La3Pr3Cu9O22, a DFT-relaxed cell (GGA-PBE, the Materials Project) gives the theoretical X-ray diffraction stick pattern in this record (Cu Kα, 1.54184 Å).
Kinematic intensities with the Lorentz-polarization factor, no thermal factor.

Structural model:
Cell lengths 5.5501, 8.7151, 12.1752 Å; angles 74.17, 77.22, 72.80 degrees
Sites, in units of the cell vectors:
Ba: 0.0000 0.0000 0.0000
Ba: 0.1205 0.1281 0.6378
Ba: 0.6815 0.6657 0.9921
La: 0.3385 0.3372 0.9919
La: 0.4272 0.4807 0.6483
La: 0.7956 0.8041 0.6388
Pr: 0.2274 0.2325 0.3182
Pr: 0.5651 0.5624 0.3184
Pr: 0.8891 0.8992 0.3203
Cu: 0.0042 0.5139 0.4743
Cu: 0.1125 0.6144 0.1666
Cu: 0.2311 0.7204 0.8200
Cu: 0.3448 0.8504 0.4705
Cu: 0.4442 0.9462 0.1708
Cu: 0.5613 0.0786 0.8140
Cu: 0.6722 0.1853 0.4716
Cu: 0.7779 0.2791 0.1676
Cu: 0.8819 0.3981 0.8154
O: 0.0114 0.0102 0.4612
O: 0.0351 0.5975 0.7753
O: 0.1077 0.1120 0.1851
O: 0.1703 0.6811 0.4808
O: 0.1783 0.6592 0.9813
O: 0.2603 0.2628 0.8065
O: 0.2688 0.7732 0.1962
O: 0.3466 0.3619 0.4574
O: 0.3620 0.7889 0.6622
O: 0.4364 0.4367 0.1838
O: 0.5001 0.0524 0.9752
O: 0.5131 0.0274 0.4469
O: 0.5300 0.5152 0.8281
O: 0.6083 0.1040 0.1894
O: 0.6141 0.1007 0.6550
O: 0.6790 0.6893 0.4536
O: 0.7721 0.7749 0.1844
O: 0.8277 0.3321 0.9788
O: 0.8541 0.3550 0.4428
O: 0.8711 0.9102 0.8131
O: 0.8766 0.4455 0.6544
O: 0.9378 0.4421 0.1816

Principal peaks in the range 10° ≤ 2θ ≤ 90°, by intensity:
32.26°, I 100.0
32.89°, I 54.3
32.59°, I 53.1
32.47°, I 50.3
32.23°, I 49.8
45.69°, I 30.9
46.85°, I 27.8
47.11°, I 22.6
58.25°, I 19.2
57.86°, I 17.9

Record 5
For K2Cd3S4, a DFT-relaxed cell (GGA-PBE, the Materials Project) gives the theoretical X-ray diffraction stick pattern in this record (Cu Kα, 1.54184 Å).
Kinematic intensities with the Lorentz-polarization factor, no thermal factor.

Structural model:
Cell lengths 14.0786, 10.4180, 6.7517 Å; angles 90.00, 90.00, 90.00 degrees
Sites, in units of the cell vectors:
K: 0.0000 0.0000 0.0000
K: 0.0000 0.5000 0.0000
K: 0.0305 0.2500 0.4847
K: 0.4695 0.7500 0.9847
K: 0.5000 0.0000 0.5000
K: 0.5000 0.5000 0.5000
K: 0.5305 0.2500 0.0153
K: 0.9695 0.7500 0.5153
Cd: 0.2040 0.7500 0.2151
Cd: 0.2485 0.0930 0.1547
Cd: 0.2485 0.4070 0.1547
Cd: 0.2515 0.5930 0.6547
Cd: 0.2515 0.9070 0.6547
Cd: 0.2960 0.2500 0.7151
Cd: 0.7040 0.7500 0.2849
Cd: 0.7485 0.0930 0.3453
Cd: 0.7485 0.4070 0.3453
Cd: 0.7515 0.5930 0.8453
Cd: 0.7515 0.9070 0.8453
Cd: 0.7960 0.2500 0.7849
S: 0.1361 0.5330 0.3733
S: 0.1361 0.9670 0.3733
S: 0.1429 0.2500 0.9261
S: 0.1462 0.7500 0.8614
S: 0.3538 0.2500 0.3614
S: 0.3571 0.7500 0.4261
S: 0.3639 0.0330 0.8733
S: 0.3639 0.4670 0.8733
S: 0.6361 0.5330 0.1267
S: 0.6361 0.9670 0.1267
S: 0.6429 0.2500 0.5739
S: 0.6462 0.7500 0.6386
S: 0.8538 0.2500 0.1386
S: 0.8571 0.7500 0.0739
S: 0.8639 0.0330 0.6267
S: 0.8639 0.4670 0.6267

Principal peaks in the range 10° ≤ 2θ ≤ 90°, by intensity:
12.57°, I 100.0
28.87°, I 50.4
31.64°, I 48.1
32.68°, I 27.1
38.79°, I 25.8
48.67°, I 25.3
29.34°, I 22.9
29.62°, I 22.1
41.78°, I 15.4
25.30°, I 13.2

What did the fifth record say?
For K2Cd3S4, a DFT-relaxed cell (GGA-PBE, the Materials Project) gives the theoretical X-ray diffraction stick pattern in this record (Cu Kα, 1.54184 Å).
Kinematic intensities with the Lorentz-polarization factor, no thermal factor.

Structural model:
Cell lengths 14.0786, 10.4180, 6.7517 Å; angles 90.00, 90.00, 90.00 degrees
Sites, in units of the cell vectors:
K: 0.0000 0.0000 0.0000
K: 0.0000 0.5000 0.0000
K: 0.0305 0.2500 0.4847
K: 0.4695 0.7500 0.9847
K: 0.5000 0.0000 0.5000
K: 0.5000 0.5000 0.5000
K: 0.5305 0.2500 0.0153
K: 0.9695 0.7500 0.5153
Cd: 0.2040 0.7500 0.2151
Cd: 0.2485 0.0930 0.1547
Cd: 0.2485 0.4070 0.1547
Cd: 0.2515 0.5930 0.6547
Cd: 0.2515 0.9070 0.6547
Cd: 0.2960 0.2500 0.7151
Cd: 0.7040 0.7500 0.2849
Cd: 0.7485 0.0930 0.3453
Cd: 0.7485 0.4070 0.3453
Cd: 0.7515 0.5930 0.8453
Cd: 0.7515 0.9070 0.8453
Cd: 0.7960 0.2500 0.7849
S: 0.1361 0.5330 0.3733
S: 0.1361 0.9670 0.3733
S: 0.1429 0.2500 0.9261
S: 0.1462 0.7500 0.8614
S: 0.3538 0.2500 0.3614
S: 0.3571 0.7500 0.4261
S: 0.3639 0.0330 0.8733
S: 0.3639 0.4670 0.8733
S: 0.6361 0.5330 0.1267
S: 0.6361 0.9670 0.1267
S: 0.6429 0.2500 0.5739
S: 0.6462 0.7500 0.6386
S: 0.8538 0.2500 0.1386
S: 0.8571 0.7500 0.0739
S: 0.8639 0.0330 0.6267
S: 0.8639 0.4670 0.6267

Principal peaks in the range 10° ≤ 2θ ≤ 90°, by intensity:
12.57°, I 100.0
28.87°, I 50.4
31.64°, I 48.1
32.68°, I 27.1
38.79°, I 25.8
48.67°, I 25.3
29.34°, I 22.9
29.62°, I 22.1
41.78°, I 15.4
25.30°, I 13.2